Calculated X-ray powder pattern of Pu3MnGe2 for a wavelength of 1.5418 Å, from a structure optimized by DFT (GGA-PBE).
Lines closer than 0.1° are merged.

Crystal structure
a = 8.559 Å, b = 8.559 Å, c = 8.559 Å
α = 140.30°, β = 57.02°, γ = 140.81°
Element x y z (fractional)
Pu 0.173 0.194 0.367
Pu 0.250 0.250 0.000
Pu 0.327 0.694 0.021
Pu 0.673 0.306 0.979
Pu 0.750 0.750 0.000
Pu 0.827 0.806 0.633
Mn 0.250 0.750 0.500
Mn 0.750 0.250 0.500
Ge 0.124 0.684 0.808
Ge 0.376 0.184 0.560
Ge 0.624 0.816 0.440
Ge 0.876 0.316 0.192

The 8 most intense peaks (10° ≤ 2θ ≤ 90°), by intensity:
2θ 32.36, I 1000; 2θ 33.41, I 822; 2θ 44.35, I 692; 2θ 33.04, I 666; 2θ 39.49, I 621; 2θ 16.35, I 615; 2θ 35.82, I 603; 2θ 35.12, I 561

---

Calculated X-ray powder pattern of Pu2MnGe8 for a wavelength of 1.5418 Å, from a structure optimized by DFT (GGA-PBE).
Lines closer than 0.1° are merged.

Crystal structure
a = 4.231 Å, b = 4.231 Å, c = 11.177 Å
α = 90.00°, β = 90.00°, γ = 90.00°
Element x y z (fractional)
Pu 0.000 0.000 0.193
Pu 0.000 0.000 0.807
Mn 0.000 0.000 0.500
Ge 0.000 0.500 0.000
Ge 0.000 0.500 0.382
Ge 0.000 0.500 0.618
Ge 0.500 0.000 0.000
Ge 0.500 0.000 0.382
Ge 0.500 0.000 0.618
Ge 0.500 0.500 0.191
Ge 0.500 0.500 0.809

The 8 most intense peaks (10° ≤ 2θ ≤ 90°), by intensity:
2θ 38.60, I 1000; 2θ 33.99, I 541; 2θ 42.74, I 536; 2θ 21.00, I 358; 2θ 60.23, I 279; 2θ 75.50, I 277; 2θ 40.35, I 225; 2θ 32.01, I 204

---

Calculated X-ray powder pattern of PuMn2SiGe for a wavelength of 1.5418 Å, from a structure optimized by DFT (GGA-PBE).
Lines closer than 0.1° are merged.

Crystal structure
a = 6.015 Å, b = 6.015 Å, c = 5.503 Å
α = 90.00°, β = 90.00°, γ = 125.55°
Element x y z (fractional)
Pu 0.250 0.750 0.750
Pu 0.750 0.250 0.250
Mn 0.245 0.245 0.000
Mn 0.245 0.245 0.500
Mn 0.755 0.755 0.000
Mn 0.755 0.755 0.500
Si 0.128 0.872 0.250
Si 0.872 0.128 0.750
Ge 0.366 0.634 0.250
Ge 0.634 0.366 0.750

The 8 most intense peaks (10° ≤ 2θ ≤ 90°), by intensity:
2θ 36.73, I 1000; 2θ 34.10, I 853; 2θ 24.34, I 539; 2θ 46.68, I 404; 2θ 48.56, I 375; 2θ 59.07, I 361; 2θ 32.54, I 277; 2θ 69.64, I 259

---

Calculated X-ray powder pattern of Mn3GeS7 for a wavelength of 1.5418 Å, from a structure optimized by DFT (GGA-PBE).
Lines closer than 0.1° are merged.

Crystal structure
a = 5.988 Å, b = 6.860 Å, c = 6.978 Å
α = 104.69°, β = 115.21°, γ = 91.81°
Element x y z (fractional)
Mn 0.000 0.000 0.000
Mn 0.046 0.504 0.017
Mn 0.544 0.730 0.999
Ge 0.540 0.273 0.996
S 0.085 0.199 0.807
S 0.112 0.716 0.820
S 0.476 0.575 0.232
S 0.586 0.936 0.800
S 0.607 0.438 0.774
S 0.981 0.814 0.227
S 0.990 0.304 0.229

The 8 most intense peaks (10° ≤ 2θ ≤ 90°), by intensity:
2θ 14.69, I 1000; 2θ 33.49, I 470; 2θ 33.64, I 213; 2θ 42.45, I 170; 2θ 42.70, I 120; 2θ 42.80, I 116; 2θ 52.33, I 71; 2θ 53.47, I 66

---

Calculated X-ray powder pattern of Mn2Ge3S3 for a wavelength of 1.5418 Å, from a structure optimized by DFT (GGA-PBE).
Lines closer than 0.1° are merged.

Crystal structure
a = 8.274 Å, b = 8.274 Å, c = 8.274 Å
α = 89.88°, β = 89.88°, γ = 89.88°
Element x y z (fractional)
Mn 0.236 0.744 0.731
Mn 0.242 0.242 0.242
Mn 0.256 0.269 0.764
Mn 0.269 0.764 0.256
Mn 0.731 0.236 0.744
Mn 0.744 0.731 0.236
Mn 0.758 0.758 0.758
Mn 0.764 0.256 0.269
Ge 0.003 0.149 0.669
Ge 0.149 0.669 0.003
Ge 0.170 0.504 0.350
Ge 0.331 0.997 0.851
Ge 0.350 0.170 0.504
Ge 0.496 0.650 0.830
Ge 0.504 0.350 0.170
Ge 0.650 0.830 0.496
Ge 0.669 0.003 0.149
Ge 0.830 0.496 0.650
Ge 0.851 0.331 0.997
Ge 0.997 0.851 0.331
S 0.007 0.145 0.350
S 0.145 0.350 0.007
S 0.149 0.497 0.646
S 0.350 0.007 0.145
S 0.354 0.851 0.503
S 0.497 0.646 0.149
S 0.503 0.354 0.851
S 0.646 0.149 0.497
S 0.650 0.993 0.855
S 0.851 0.503 0.354
S 0.855 0.650 0.993
S 0.993 0.855 0.650

The 8 most intense peaks (10° ≤ 2θ ≤ 90°), by intensity:
2θ 34.27, I 1000; 2θ 49.25, I 434; 2θ 40.79, I 241; 2θ 54.35, I 203; 2θ 21.48, I 201; 2θ 26.39, I 153; 2θ 56.79, I 139; 2θ 56.68, I 135

---

Calculated X-ray powder pattern of Tm6MnGe2S14 for a wavelength of 1.5418 Å, from a structure optimized by DFT (GGA-PBE).
Lines closer than 0.1° are merged.

Crystal structure
a = 9.493 Å, b = 9.493 Å, c = 6.029 Å
α = 90.00°, β = 90.00°, γ = 120.00°
Element x y z (fractional)
Tm 0.023 0.538 0.000
Tm 0.307 0.125 0.509
Tm 0.462 0.485 0.000
Tm 0.515 0.977 0.000
Tm 0.819 0.693 0.509
Tm 0.875 0.181 0.509
Mn 0.667 0.333 0.351
Ge 0.000 0.000 0.939
Ge 0.333 0.667 0.426
S 0.000 0.000 0.309
S 0.101 0.857 0.780
S 0.143 0.244 0.780
S 0.193 0.423 0.265
S 0.230 0.807 0.265
S 0.333 0.667 0.797
S 0.432 0.203 0.110
S 0.527 0.438 0.575
S 0.562 0.089 0.575
S 0.577 0.770 0.265
S 0.756 0.899 0.780
S 0.771 0.568 0.110
S 0.797 0.229 0.110
S 0.911 0.473 0.575

The 8 most intense peaks (10° ≤ 2θ ≤ 90°), by intensity:
2θ 26.24, I 1000; 2θ 37.91, I 392; 2θ 36.98, I 273; 2θ 21.62, I 226; 2θ 50.55, I 217; 2θ 48.84, I 198; 2θ 46.69, I 189; 2θ 18.25, I 178

---

> Number 4 is which compound?

Mn3GeS7

---

Please write out number 2 again, unchanged.
Calculated X-ray powder pattern of Pu2MnGe8 for a wavelength of 1.5418 Å, from a structure optimized by DFT (GGA-PBE).
Lines closer than 0.1° are merged.

Crystal structure
a = 4.231 Å, b = 4.231 Å, c = 11.177 Å
α = 90.00°, β = 90.00°, γ = 90.00°
Element x y z (fractional)
Pu 0.000 0.000 0.193
Pu 0.000 0.000 0.807
Mn 0.000 0.000 0.500
Ge 0.000 0.500 0.000
Ge 0.000 0.500 0.382
Ge 0.000 0.500 0.618
Ge 0.500 0.000 0.000
Ge 0.500 0.000 0.382
Ge 0.500 0.000 0.618
Ge 0.500 0.500 0.191
Ge 0.500 0.500 0.809

The 8 most intense peaks (10° ≤ 2θ ≤ 90°), by intensity:
2θ 38.60, I 1000; 2θ 33.99, I 541; 2θ 42.74, I 536; 2θ 21.00, I 358; 2θ 60.23, I 279; 2θ 75.50, I 277; 2θ 40.35, I 225; 2θ 32.01, I 204